Diffraction record for CaB2H10N2. The X-ray diffraction stick pattern is calculated, not measured: it uses a GGA-PBE-relaxed structure and Cu Kα (weighted mean of Kα1 and Kα2).
Kinematic intensities with the Lorentz-polarization factor, no thermal factor.

Cell and atoms:
```
data_CaB2H10N2
_chemical_formula_sum 'Ca2 B4 H20 N4'
_cell_length_a 9.250
_cell_length_b 4.364
_cell_length_c 6.529
_cell_angle_alpha 90.00
_cell_angle_beta 93.50
_cell_angle_gamma 90.00
_space_group_name_H-M_alt 'C 1 2 1'
_space_group_IT_number 5
loop_
_space_group_symop_operation_xyz
'x,y,z'
'-x,y,-z'
'x+1/2,y+1/2,z'
'-x+1/2,y+1/2,-z'
loop_
_atom_site_label
_atom_site_type_symbol
_atom_site_fract_x
_atom_site_fract_y
_atom_site_fract_z
Ca1 Ca 0.000 0.000 0.000
B1 B 0.168 0.523 0.208
H1 H 0.079 0.687 0.292
H2 H 0.140 0.984 0.595
H3 H 0.141 0.257 0.255
H4 H 0.143 0.549 0.018
H5 H 0.157 0.321 0.696
N1 N 0.172 0.094 0.729
```

Largest 6 diffraction maxima, low angle first, 10 to 80 degrees two-theta:
d = 6.516 Å, 2θ = 13.59°, rel. 85; d = 3.946 Å, 2θ = 22.53°, rel. 53; d = 3.663 Å, 2θ = 24.30°, rel. 28; d = 3.337 Å, 2θ = 26.72°, rel. 100; d = 2.742 Å, 2θ = 32.66°, rel. 34; d = 1.924 Å, 2θ = 47.25°, rel. 21